Theoretical X-ray powder pattern of CoSbP2O8 for Cu Kα, from the GGA+U geometry in the Materials Project.

Cell and atoms:
```
CoSbP2O8
1.0
4.939 0.000 0.000
1.025 11.875 0.000
0.948 4.932 10.872
Co Sb P O
4 4 8 32
Cartesian
1.140 7.219 3.248
1.244 4.017 8.219
5.667 12.789 2.653
5.772 9.587 7.624
3.351 11.837 5.617
2.596 3.328 0.229
4.315 13.478 10.643
3.561 4.969 5.255
1.293 10.134 0.713
1.437 6.679 6.336
2.129 2.708 3.404
3.251 10.808 9.134
3.661 5.998 1.738
4.783 14.098 7.468
5.475 10.128 4.536
5.618 6.672 10.159
1.508 11.408 1.468
1.719 7.899 7.190
2.044 10.338 4.727
2.381 13.281 3.756
2.202 6.963 10.297
2.440 10.787 7.830
3.001 15.044 10.165
1.768 3.892 4.311
1.604 3.060 1.907
2.098 8.908 1.333
2.606 9.688 10.079
2.167 5.376 6.906
2.192 6.724 4.930
3.002 12.191 9.858
2.179 6.205 1.933
3.275 14.335 7.461
3.636 2.471 3.411
4.733 10.602 8.939
3.909 4.616 1.014
4.719 10.083 5.942
4.745 11.430 3.966
4.306 7.118 0.793
4.814 7.898 9.539
5.308 13.747 8.965
5.144 12.915 6.561
3.911 1.763 0.707
4.471 6.020 3.042
4.709 9.843 0.575
4.531 3.525 7.116
4.867 6.468 6.145
5.192 8.907 3.682
5.404 5.398 9.404
```

Peak list (6 most intense, 5° ≤ 2θ ≤ 70°, in order of rising 2θ)
| d/Å | intensity | index |
| --- | --- | --- |
| 5.422 | 41 | 0 0 2 |
| 5.004 | 91 | 0 2 2 |
| 3.742 | 67 | 1 2 0 |
| 3.692 | 39 | 1 2 2 |
| 3.225 | 100 | 0 2 -2 |
| 2.642 | 66 | 1 4 2 |